# 1
This entry pairs a crystal structure of TcBiPb2O6 with its simulated powder diffractogram. Radiation: Cu Kα (λ = 1.5418 Å). Structure: DFT lattice parameters and positions (GGA-PBE).
Intensities are scaled so that the largest is 100.

Most intense lines, 15 to 90 degrees two-theta, by intensity:
| d_spacing | I_rel | (hkl) |
| --- | --- | --- |
| 3.152 | 100 | 0 2 1 |
| 2.916 | 82 | 2 2 -1 |
| 3.346 | 59 | 2 0 0 |
| 2.962 | 48 | 2 0 -2 |
| 1.953 | 23 | 2 2 1 |
| 2.053 | 21 | 4 0 -2 |
| 4.819 | 20 | 1 1 -1 |
| 1.792 | 20 | 2 2 -3 |

Lattice parameters (Å, degrees): 8.2748 8.2814 6.0108 90.00 126.02 90.00
Space group Cm (No. 8)
One atom of each set of equivalent atoms:
Tc (0.0000, 0.0000, 0.0000) (multiplicity 2)
Bi (0.4205, 0.0000, 0.8737) (multiplicity 2)
Pb (0.3997, 0.2773, 0.3565) (multiplicity 4)
O (0.0204, 0.2394, 0.0596) (multiplicity 4)
O (0.1547, 0.0000, 0.4478) (multiplicity 2)
O (0.2691, 0.0000, 0.0827) (multiplicity 2)
O (0.2737, 0.5000, 0.0441) (multiplicity 2)
O (0.3480, 0.5000, 0.6242) (multiplicity 2)

=====

# 2
This entry pairs a crystal structure of Sm2PdF8 with its simulated powder diffractogram. Radiation: Cu Kα (λ = 1.5418 Å). Structure: DFT lattice parameters and positions (GGA-PBE).
Intensities are scaled so that the largest is 100.

Most intense lines, 15 to 90 degrees two-theta, by intensity:
| d_spacing | I_rel | (hkl) |
| --- | --- | --- |
| 3.639 | 100 | 2 0 1 |
| 2.002 | 54 | 5 1 -2 |
| 3.058 | 52 | 1 1 -1 |
| 2.943 | 46 | 3 1 0 |
| 1.907 | 39 | 5 1 1 |
| 1.646 | 21 | 2 2 1 |
| 2.732 | 16 | 2 0 -2 |
| 1.845 | 15 | 0 2 0 |

Lattice parameters (Å, degrees): 15.6143 3.6910 5.4637 90.00 110.42 90.00
Space group C2/m (No. 12)
One atom of each set of equivalent atoms:
Sm (0.1759, 0.0000, 0.1832) (multiplicity 4)
Pd (0.0000, 0.5000, 0.5000) (multiplicity 2)
F (0.0475, 0.0000, 0.3351) (multiplicity 4)
F (0.0937, 0.5000, 0.9229) (multiplicity 4)
F (0.1831, 0.5000, 0.4586) (multiplicity 4)
F (0.2235, 0.0000, 0.8299) (multiplicity 4)

=====

# 3
This entry pairs a crystal structure of Y2AlZn4Ga3 with its simulated powder diffractogram. Radiation: Cu Kα (λ = 1.5418 Å). Structure: DFT lattice parameters and positions (GGA-PBE).
Intensities are scaled so that the largest is 100.

Most intense lines, 15 to 90 degrees two-theta, by intensity:
| d_spacing | I_rel | (hkl) |
| --- | --- | --- |
| 2.569 | 100 | 1 1 2 |
| 2.068 | 59 | 2 0 0 |
| 2.710 | 56 | 1 0 3 |
| 1.910 | 37 | 1 0 5 |
| 1.403 | 26 | 2 1 5 |
| 1.644 | 24 | 2 1 3 |
| 1.980 | 23 | 1 1 4 |
| 1.271 | 20 | 3 1 2 |

Lattice parameters (Å, degrees): 4.1350 4.1350 10.7642 90.00 90.00 90.00
Space group P-4m2 (No. 115)
One atom of each set of equivalent atoms:
Y (0.0000, 0.5000, 0.2481) (multiplicity 2)
Al (0.0000, 0.0000, 0.5000) (multiplicity 1)
Zn (0.0000, 0.0000, 0.0000) (multiplicity 1)
Zn (0.0000, 0.5000, 0.6404) (multiplicity 2)
Zn (0.5000, 0.5000, 0.0000) (multiplicity 1)
Ga (0.0000, 0.5000, 0.8629) (multiplicity 2)
Ga (0.5000, 0.5000, 0.5000) (multiplicity 1)